Computed X-ray powder pattern
Compound: Li2CaIO4
Radiation: λ = 1.5418 Å (Cu Kα)
Structure: DFT lattice parameters and positions (GGA-PBE)
Neutral-atom scattering factors, no anomalous dispersion.

The 12 most intense peaks (15° ≤ 2θ ≤ 90°), in order of falling intensity:
21.27 deg, intensity 100; 20.37 deg, intensity 35; 38.19 deg, intensity 24; 37.10 deg, intensity 24; 54.27 deg, intensity 21; 40.07 deg, intensity 20; 43.64 deg, intensity 17; 26.38 deg, intensity 17; 32.57 deg, intensity 17; 19.73 deg, intensity 15; 33.73 deg, intensity 15; 35.47 deg, intensity 14

Structural model:
Cell: 10.0167 4.7136 4.8521 Å, 90.00 116.04 90.00°
Space group Cm (No. 8)
Asymmetric unit:
Li 0.0000 0.0000 0.0000 [2 per cell]
Li 0.2267 0.5000 0.2076 [2 per cell]
Ca 0.0069 0.5000 0.5348 [2 per cell]
I 0.2611 0.0000 0.8061 [2 per cell]
O 0.0328 0.0000 0.5957 [2 per cell]
O 0.2501 0.0000 0.2062 [2 per cell]
O 0.2655 0.5000 0.8288 [2 per cell]
O 0.4987 0.0000 0.0409 [2 per cell]



Computed X-ray powder pattern
Compound: Hf4FePb2
Radiation: λ = 1.5418 Å (Cu Kα)
Structure: DFT lattice parameters and positions (GGA-PBE)
Neutral-atom scattering factors, no anomalous dispersion.

The 12 most intense peaks (15° ≤ 2θ ≤ 90°), in order of falling intensity:
35.68 deg, intensity 100; 34.19 deg, intensity 74; 41.75 deg, intensity 69; 31.63 deg, intensity 67; 37.08 deg, intensity 66; 35.87 deg, intensity 63; 30.80 deg, intensity 59; 31.07 deg, intensity 43; 35.51 deg, intensity 42; 65.97 deg, intensity 41; 31.71 deg, intensity 35; 36.63 deg, intensity 34

Structural model:
Cell: 6.2163 3.2452 8.4245 Å, 90.00 110.95 90.00°
Space group P2/m (No. 10)
Asymmetric unit:
Hf 0.1274 0.0000 0.2926 [2 per cell]
Hf 0.2749 0.5000 0.6335 [2 per cell]
Fe 0.5000 0.0000 0.5000 [1 per cell]
Pb 0.2604 0.5000 0.0090 [2 per cell]



Computed X-ray powder pattern
Compound: ErScAs
Radiation: λ = 1.5418 Å (Cu Kα)
Structure: DFT lattice parameters and positions (GGA-PBE)
Neutral-atom scattering factors, no anomalous dispersion.

The 12 most intense peaks (15° ≤ 2θ ≤ 90°), in order of falling intensity:
35.66 deg, intensity 100; 24.47 deg, intensity 90; 33.46 deg, intensity 83; 32.71 deg, intensity 62; 41.94 deg, intensity 58; 40.04 deg, intensity 57; 40.58 deg, intensity 57; 28.21 deg, intensity 49; 35.89 deg, intensity 47; 30.40 deg, intensity 39; 28.49 deg, intensity 31; 62.19 deg, intensity 31

Structural model:
Cell: 11.7627 11.7627 11.1036 Å, 90.00 90.00 120.00°
Space group R-3 (No. 148, hexagonal axes)
Asymmetric unit:
Er 0.0511 0.1912 0.3778 [18 per cell]
Sc 0.0251 0.1963 0.8891 [18 per cell]
As 0.0393 0.2736 0.1392 [18 per cell]



Computed X-ray powder pattern
Compound: Rb2VPbS4
Radiation: λ = 1.5418 Å (Cu Kα)
Structure: DFT lattice parameters and positions (GGA-PBE)
Neutral-atom scattering factors, no anomalous dispersion.

The 12 most intense peaks (15° ≤ 2θ ≤ 90°), in order of falling intensity:
26.21 deg, intensity 100; 42.50 deg, intensity 54; 23.06 deg, intensity 45; 32.85 deg, intensity 31; 15.35 deg, intensity 29; 48.03 deg, intensity 24; 27.83 deg, intensity 17; 53.11 deg, intensity 16; 65.32 deg, intensity 15; 54.73 deg, intensity 12; 53.93 deg, intensity 11; 69.58 deg, intensity 11

Structural model:
Cell: 7.7121 7.7121 8.6986 Å, 90.00 90.00 90.00°
Space group I-4 (No. 82)
Asymmetric unit:
Rb 0.0000 0.0000 0.0000 [2 per cell]
Rb 0.0000 0.5000 0.2500 [2 per cell]
V 0.0000 0.0000 0.5000 [2 per cell]
Pb 0.0000 0.5000 0.7500 [2 per cell]
S 0.1488 0.1923 0.6347 [8 per cell]



Repeat the first record exactly.
Computed X-ray powder pattern
Compound: Li2CaIO4
Radiation: λ = 1.5418 Å (Cu Kα)
Structure: DFT lattice parameters and positions (GGA-PBE)
Neutral-atom scattering factors, no anomalous dispersion.

The 12 most intense peaks (15° ≤ 2θ ≤ 90°), in order of falling intensity:
21.27 deg, intensity 100; 20.37 deg, intensity 35; 38.19 deg, intensity 24; 37.10 deg, intensity 24; 54.27 deg, intensity 21; 40.07 deg, intensity 20; 43.64 deg, intensity 17; 26.38 deg, intensity 17; 32.57 deg, intensity 17; 19.73 deg, intensity 15; 33.73 deg, intensity 15; 35.47 deg, intensity 14

Structural model:
Cell: 10.0167 4.7136 4.8521 Å, 90.00 116.04 90.00°
Space group Cm (No. 8)
Asymmetric unit:
Li 0.0000 0.0000 0.0000 [2 per cell]
Li 0.2267 0.5000 0.2076 [2 per cell]
Ca 0.0069 0.5000 0.5348 [2 per cell]
I 0.2611 0.0000 0.8061 [2 per cell]
O 0.0328 0.0000 0.5957 [2 per cell]
O 0.2501 0.0000 0.2062 [2 per cell]
O 0.2655 0.5000 0.8288 [2 per cell]
O 0.4987 0.0000 0.0409 [2 per cell]